Record 1
Diffraction record for Pm2Ho12Zr. The XRD peak list is simulated, not measured: it uses DFT lattice parameters and positions (GGA-PBE) and CuKα.
Intensities are scaled so that the largest is 100.

Top 8 peaks for 2θ from 5° to 70°, low angle first:
| 2theta | I_rel |
| --- | --- |
| 30.74 | 50 |
| 31.23 | 23 |
| 31.76 | 89 |
| 31.83 | 55 |
| 32.36 | 100 |
| 34.11 | 61 |
| 35.96 | 23 |
| 62.33 | 23 |

Lattice parameters (Å, degrees): 6.6392 6.6392 23.9385 93.58 93.58 116.12
Element x y z (fractional)
Pm  0.2161  0.2161  0.2329
Pm  0.2827  0.2827  0.7667
Pm  0.7173  0.7173  0.2333
Pm  0.7839  0.7839  0.7671
Ho  0.0109  0.0109  0.3804
Ho  0.0695  0.5745  0.4345
Ho  0.0952  0.0952  0.9250
Ho  0.1032  0.6026  0.9440
Ho  0.1920  0.6927  0.1727
Ho  0.2412  0.7437  0.6945
Ho  0.2563  0.7588  0.3055
Ho  0.3073  0.8080  0.8273
Ho  0.3974  0.8968  0.0560
Ho  0.4042  0.4042  0.0743
Ho  0.4255  0.9305  0.5655
Ho  0.4913  0.4913  0.6194
Ho  0.5087  0.5087  0.3806
Ho  0.5745  0.0695  0.4345
Ho  0.5958  0.5958  0.9257
Ho  0.6026  0.1032  0.9440
Ho  0.6927  0.1920  0.1727
Ho  0.7437  0.2412  0.6945
Ho  0.7588  0.2563  0.3055
Ho  0.8080  0.3073  0.8273
Ho  0.8968  0.3974  0.0560
Ho  0.9048  0.9048  0.0750
Ho  0.9305  0.4255  0.5655
Ho  0.9891  0.9891  0.6196
Zr  0.2656  0.2656  0.4978
Zr  0.7345  0.7345  0.5022


Record 2
Diffraction record for Pr4Ho. The XRD peak list is simulated, not measured: it uses DFT lattice parameters and positions (GGA-PBE) and CuKα.
Intensities are scaled so that the largest is 100.

Top 7 peaks for 2θ from 5° to 70°, low angle first:
| 2theta | I_rel |
| --- | --- |
| 5.90 | 2 |
| 29.77 | 100 |
| 34.51 | 51 |
| 49.60 | 36 |
| 58.93 | 43 |
| 61.80 | 9 |
| 61.90 | 3 |

Lattice parameters (Å, degrees): 15.1393 15.1393 15.1393 13.95 13.95 13.95
Element x y z (fractional)
Pr  0.1018  0.1018  0.1018
Pr  0.2995  0.2995  0.2995
Pr  0.7005  0.7005  0.7005
Pr  0.8982  0.8982  0.8982
Ho  0.5000  0.5000  0.5000


Record 3
Diffraction record for Pr5Ho. The XRD peak list is simulated, not measured: it uses DFT lattice parameters and positions (GGA-PBE) and CuKα.
Intensities are scaled so that the largest is 100.

Top 7 peaks for 2θ from 5° to 70°, low angle first:
| 2theta | I_rel |
| --- | --- |
| 29.72 | 100 |
| 34.37 | 17 |
| 34.48 | 34 |
| 49.51 | 36 |
| 58.71 | 15 |
| 58.86 | 29 |
| 61.71 | 12 |

Lattice parameters (Å, degrees): 5.2184 11.0331 7.3578 90.00 90.00 90.00
Element x y z (fractional)
Pr  0.2500  0.0831  0.1234
Pr  0.2500  0.0852  0.6270
Pr  0.2500  0.4148  0.6270
Pr  0.2500  0.4169  0.1234
Pr  0.2500  0.7500  0.6262
Pr  0.7500  0.2500  0.3738
Pr  0.7500  0.5831  0.8766
Pr  0.7500  0.5852  0.3730
Pr  0.7500  0.9148  0.3730
Pr  0.7500  0.9169  0.8766
Ho  0.2500  0.7500  0.1230
Ho  0.7500  0.2500  0.8770


Record 4
Diffraction record for Pr7Ho3. The XRD peak list is simulated, not measured: it uses DFT lattice parameters and positions (GGA-PBE) and CuKα.
Intensities are scaled so that the largest is 100.

Top 8 peaks for 2θ from 5° to 70°, low angle first:
| 2theta | I_rel |
| --- | --- |
| 29.93 | 100 |
| 34.62 | 34 |
| 34.85 | 17 |
| 49.77 | 12 |
| 49.94 | 24 |
| 59.17 | 29 |
| 59.48 | 14 |
| 62.20 | 12 |

Lattice parameters (Å, degrees): 9.6838 9.6838 7.2977 101.21 101.21 31.04
Element x y z (fractional)
Pr  0.0000  0.0000  0.0000
Pr  0.2001  0.2001  0.6011
Pr  0.3985  0.3985  0.1979
Pr  0.4005  0.4005  0.7009
Pr  0.5995  0.5995  0.2991
Pr  0.6015  0.6015  0.8021
Pr  0.7999  0.7999  0.3989
Ho  0.0000  0.0000  0.5000
Ho  0.2013  0.2013  0.1002
Ho  0.7988  0.7988  0.8998


Record 5
Diffraction record for Pr13Ho2. The XRD peak list is simulated, not measured: it uses DFT lattice parameters and positions (GGA-PBE) and CuKα.
Intensities are scaled so that the largest is 100.

Top 8 peaks for 2θ from 5° to 70°, low angle first:
| 2theta | I_rel |
| --- | --- |
| 30.56 | 100 |
| 30.63 | 18 |
| 43.74 | 10 |
| 43.83 | 10 |
| 54.27 | 19 |
| 54.38 | 13 |
| 60.66 | 13 |
| 60.76 | 6 |

Lattice parameters (Å, degrees): 6.8455 9.2456 9.2530 66.52 82.42 82.28
Element x y z (fractional)
Pr  0.0000  0.0000  0.0000
Pr  0.1016  0.4365  0.7655
Pr  0.1931  0.1929  0.2099
Pr  0.2981  0.6282  0.9736
Pr  0.3043  0.9617  0.6383
Pr  0.3957  0.3972  0.4065
Pr  0.4985  0.1687  0.8347
Pr  0.5015  0.8313  0.1653
Pr  0.6043  0.6028  0.5935
Pr  0.6957  0.0383  0.3617
Pr  0.7019  0.3718  0.0264
Pr  0.8069  0.8071  0.7901
Pr  0.8984  0.5635  0.2345
Ho  0.0993  0.7678  0.4300
Ho  0.9007  0.2322  0.5700


Record 6
Diffraction record for Pr6Ho5. The XRD peak list is simulated, not measured: it uses DFT lattice parameters and positions (GGA-PBE) and CuKα.
Intensities are scaled so that the largest is 100.

Top 8 peaks for 2θ from 5° to 70°, low angle first:
| 2theta | I_rel |
| --- | --- |
| 29.53 | 45 |
| 29.76 | 52 |
| 30.10 | 27 |
| 31.27 | 100 |
| 32.83 | 69 |
| 32.94 | 27 |
| 52.60 | 27 |
| 56.43 | 23 |

Lattice parameters (Å, degrees): 8.4994 8.4994 6.1154 106.23 106.23 104.65
Element x y z (fractional)
Pr  0.0458  0.3266  0.6126
Pr  0.1840  0.1840  0.0894
Pr  0.3266  0.0458  0.6126
Pr  0.6734  0.9542  0.3874
Pr  0.8160  0.8160  0.9106
Pr  0.9542  0.6734  0.3874
Ho  0.2336  0.7664  0.0000
Ho  0.3704  0.6296  0.5000
Ho  0.5000  0.5000  0.0000
Ho  0.6296  0.3704  0.5000
Ho  0.7664  0.2336  0.0000


Record 7
Diffraction record for Pr7Ho2. The XRD peak list is simulated, not measured: it uses DFT lattice parameters and positions (GGA-PBE) and CuKα.
Intensities are scaled so that the largest is 100.

Top 8 peaks for 2θ from 5° to 70°, low angle first:
| 2theta | I_rel |
| --- | --- |
| 30.52 | 72 |
| 30.77 | 100 |
| 32.24 | 25 |
| 36.98 | 18 |
| 43.89 | 22 |
| 52.32 | 19 |
| 54.56 | 20 |
| 60.48 | 29 |

Lattice parameters (Å, degrees): 10.0662 10.0662 3.6017 90.00 90.00 120.00
Element x y z (fractional)
Pr  0.0000  0.0000  0.0000
Pr  0.0000  0.3092  0.5000
Pr  0.0000  0.6377  0.0000
Pr  0.3092  0.0000  0.5000
Pr  0.3623  0.3623  0.0000
Pr  0.6377  0.0000  0.0000
Pr  0.6908  0.6908  0.5000
Ho  0.3333  0.6667  0.5000
Ho  0.6667  0.3333  0.5000


Record 8
Diffraction record for Pr4Ho5. The XRD peak list is simulated, not measured: it uses DFT lattice parameters and positions (GGA-PBE) and CuKα.
Intensities are scaled so that the largest is 100.

Top 8 peaks for 2θ from 5° to 70°, low angle first:
| 2theta | I_rel |
| --- | --- |
| 30.34 | 100 |
| 35.12 | 34 |
| 35.30 | 17 |
| 50.51 | 12 |
| 50.65 | 24 |
| 60.07 | 29 |
| 60.32 | 14 |
| 63.13 | 12 |

Lattice parameters (Å, degrees): 8.0765 8.0765 8.0765 95.69 95.69 143.31
Element x y z (fractional)
Pr  0.1666  0.1666  0.3332
Pr  0.1666  0.8334  0.0000
Pr  0.8334  0.1666  0.0000
Pr  0.8334  0.8334  0.6668
Ho  0.1645  0.5000  0.6645
Ho  0.5000  0.1645  0.6645
Ho  0.5000  0.5000  0.0000
Ho  0.5000  0.8355  0.3355
Ho  0.8355  0.5000  0.3355